Record 1
Ce5Y5Ru6: calculated powder XRD pattern (Cu Kα (weighted mean of Kα1 and Kα2)), based on a cell relaxed with GGA-PBE.

Peak list (10 most intense, 10 to 90 degrees two-theta, in order of rising 2θ)
| index | two_theta | I (rel.) |
| --- | --- | --- |
| 0 1 1 | 12.55 | 42 |
| 0 5 1 | 31.84 | 40 |
| 1 5 1 | 35.03 | 62 |
| 2 3 1 | 35.76 | 100 |
| 0 6 0 | 35.88 | 59 |
| 2 0 2 | 36.57 | 59 |
| 1 1 3 | 37.21 | 52 |
| 0 3 3 | 38.29 | 40 |
| 2 2 2 | 38.56 | 22 |
| 2 6 2 | 52.18 | 26 |

Atomic structure:
a b c (Å): 6.2330 15.0106 7.9872
angles (deg): 90.00 90.00 90.00
Space group Amm2 (No. 38)
Inequivalent atoms, fractional coordinates:
Ce1 0.0000 0.0000 0.0000 x2
Ce2 0.2516 0.1737 0.2285 x8
Y1 0.0000 0.1188 0.6045 x4
Y2 0.5000 0.0000 0.4679 x2
Y3 0.5000 0.1181 0.8487 x4
Ru1 0.0000 0.0000 0.3056 x2
Ru2 0.0000 0.1954 0.9535 x4
Ru3 0.5000 0.0000 0.1245 x2
Ru4 0.5000 0.1989 0.4992 x4



Record 2
PaZnNiRu: calculated powder XRD pattern (Cu Kα (weighted mean of Kα1 and Kα2)), based on a cell relaxed with GGA-PBE.

Peak list (10 most intense, 10 to 90 degrees two-theta, in order of rising 2θ)
| index | two_theta | I (rel.) |
| --- | --- | --- |
| 1 1 1 | 23.89 | 28 |
| 2 0 0 | 27.66 | 9 |
| 2 2 0 | 39.51 | 100 |
| 3 1 1 | 46.70 | 15 |
| 4 0 0 | 57.11 | 17 |
| 3 3 1 | 62.79 | 7 |
| 4 2 2 | 71.67 | 34 |
| 5 1 1 | 76.77 | 5 |
| 4 4 0 | 85.07 | 11 |
| 5 3 1 | 89.98 | 6 |

Atomic structure:
a b c (Å): 6.4509 6.4509 6.4509
angles (deg): 90.00 90.00 90.00
Space group F-43m (No. 216)
Inequivalent atoms, fractional coordinates:
Pa1 0.0000 0.0000 0.0000 x4
Zn1 0.0000 0.0000 0.5000 x4
Ni1 0.2500 0.2500 0.7500 x4
Ru1 0.2500 0.2500 0.2500 x4



Record 3
ErPd2Pt7: calculated powder XRD pattern (Cu Kα (weighted mean of Kα1 and Kα2)), based on a cell relaxed with GGA-PBE.

Peak list (10 most intense, 10 to 90 degrees two-theta, in order of rising 2θ)
| index | two_theta | I (rel.) |
| --- | --- | --- |
| 1 1 0 | 14.14 | 31 |
| 0 0 1 | 20.14 | 40 |
| 2 0 1 | 32.36 | 27 |
| 0 4 1 | 33.82 | 30 |
| 2 4 0 | 37.09 | 47 |
| 0 0 2 | 40.93 | 50 |
| 1 5 1 | 41.72 | 100 |
| 3 1 1 | 43.93 | 67 |
| 2 4 2 | 56.41 | 28 |
| 5 5 1 | 79.59 | 42 |

Atomic structure:
a b c (Å): 7.1052 13.2631 4.4099
angles (deg): 90.00 90.00 90.00
Space group Cmmm (No. 65)
Inequivalent atoms, fractional coordinates:
Er1 0.0000 0.0000 0.0000 x2
Pd1 0.0000 0.2990 0.5000 x4
Pt1 0.0000 0.2018 0.0000 x4
Pt2 0.0000 0.5000 0.5000 x2
Pt3 0.1840 0.1075 0.5000 x8



Record 4
Pm5Y12Ho: calculated powder XRD pattern (Cu Kα (weighted mean of Kα1 and Kα2)), based on a cell relaxed with GGA-PBE.

Peak list (10 most intense, 10 to 90 degrees two-theta, in order of rising 2θ)
| index | two_theta | I (rel.) |
| --- | --- | --- |
| 2 0 0 | 11.63 | 7 |
| 1 3 1 | 25.48 | 5 |
| 3 3 1 | 30.49 | 100 |
| 6 0 0 | 35.35 | 50 |
| 6 6 0 | 50.86 | 35 |
| 9 3 1 | 60.47 | 41 |
| 6 6 2 | 63.46 | 12 |
| 9 9 1 | 82.87 | 17 |
| 6 12 0 | 85.48 | 10 |
| 12 6 0 | 85.60 | 5 |

Atomic structure:
a b c (Å): 15.2182 15.2447 5.0797
angles (deg): 90.00 90.00 90.00
Space group Cmmm (No. 65)
Inequivalent atoms, fractional coordinates:
Pm1 0.0000 0.0000 0.0000 x2
Pm2 0.0000 0.1669 0.5000 x4
Pm3 0.0000 0.3343 0.0000 x4
Y1 0.1665 0.3340 0.5000 x8
Y2 0.1662 0.5000 0.0000 x4
Y3 0.1673 0.0000 0.5000 x4
Y4 0.1673 0.1670 0.0000 x8
Ho1 0.0000 0.5000 0.5000 x2